Structure and computed X-ray diffraction stick pattern of AcYSe3 (a PBE-relaxed structure; Cu Ka).
Lines closer than 0.1° are merged.

Atomic structure:
abc: 4.3051 7.0895 9.3560
angles: 90.00 90.00 90.00
Positions (direct):
Ac 0.2500 0.2500 0.1500
Ac 0.7500 0.7500 0.8500
Y 0.2500 0.7500 0.4017
Y 0.7500 0.2500 0.5983
Se 0.2500 0.5150 0.6594
Se 0.2500 0.7500 0.0799
Se 0.2500 0.9850 0.6594
Se 0.7500 0.0150 0.3406
Se 0.7500 0.2500 0.9201
Se 0.7500 0.4850 0.3406

Top 6 peaks for 2θ = 10–90°, in order of rising 2θ:
2θ/deg	I/Imax
22.76	55
28.17	58
34.14	100
37.81	31
38.46	42
44.03	28

Structure and computed X-ray diffraction stick pattern of Zr6TlGa (a PBE-relaxed structure; Cu Ka).
Lines closer than 0.1° are merged.

Atomic structure:
abc: 4.4290 4.4290 8.8394
angles: 90.00 90.00 90.00
Positions (direct):
Zr 0.0000 0.0000 0.0000
Zr 0.0000 0.0000 0.5000
Zr 0.0000 0.5000 0.2400
Zr 0.0000 0.5000 0.7600
Zr 0.5000 0.0000 0.2400
Zr 0.5000 0.0000 0.7600
Tl 0.5000 0.5000 0.5000
Ga 0.5000 0.5000 0.0000

Top 6 peaks for 2θ = 10–90°, in order of rising 2θ:
2θ/deg	I/Imax
35.12	100
40.77	49
59.03	32
70.54	25
70.66	12
74.23	11

Structure and computed X-ray diffraction stick pattern of HPdCl (a PBE-relaxed structure; Cu Ka).
Lines closer than 0.1° are merged.

Atomic structure:
abc: 3.5564 4.9098 6.0298
angles: 113.95 106.90 90.18
Positions (direct):
H 0.1979 0.4475 0.3948
H 0.8021 0.5525 0.6052
Pd 0.3611 0.6126 0.7253
Pd 0.6389 0.3874 0.2747
Cl 0.3931 0.1477 0.7956
Cl 0.6069 0.8523 0.2044

Top 6 peaks for 2θ = 10–90°, in order of rising 2θ:
2θ/deg	I/Imax
19.98	76
26.48	100
34.35	44
35.57	36
36.61	44
51.07	27

Structure and computed X-ray diffraction stick pattern of Er11In6Si4 (a PBE-relaxed structure; Cu Ka).
Lines closer than 0.1° are merged.

Atomic structure:
abc: 11.3666 11.3666 11.3666
angles: 119.94 119.94 90.10
Positions (direct):
Er 0.0647 0.3151 0.7496
Er 0.1014 0.4495 0.3481
Er 0.1014 0.7534 0.6519
Er 0.1705 0.1705 0.0000
Er 0.2466 0.8986 0.3481
Er 0.3151 0.0647 0.7496
Er 0.3151 0.5654 0.2504
Er 0.3338 0.3338 0.6677
Er 0.3338 0.6662 0.0000
Er 0.4346 0.6849 0.7496
Er 0.4495 0.1014 0.3481
Er 0.5505 0.8986 0.6519
Er 0.5654 0.3151 0.2504
Er 0.6662 0.3338 0.0000
Er 0.6662 0.6662 0.3323
Er 0.6849 0.4346 0.7496
Er 0.6849 0.9353 0.2504
Er 0.7534 0.1014 0.6519
Er 0.8295 0.8295 0.0000
Er 0.8986 0.2466 0.3481
Er 0.8986 0.5505 0.6519
Er 0.9353 0.6849 0.2504
In 0.0354 0.0354 0.4123
In 0.0354 0.6231 0.0000
In 0.1292 0.1292 0.2583
In 0.1292 0.8708 0.0000
In 0.3769 0.3769 0.4123
In 0.3769 0.9646 0.0000
In 0.6231 0.0354 0.0000
In 0.6231 0.6231 0.5877
In 0.8708 0.1292 0.0000
In 0.8708 0.8708 0.7417
In 0.9646 0.3769 0.0000
In 0.9646 0.9646 0.5877
Si 0.1528 0.5000 0.6528
Si 0.2500 0.7500 0.5000
Si 0.3800 0.3800 0.0000
Si 0.5000 0.1528 0.6528
Si 0.5000 0.8472 0.3472
Si 0.6200 0.6200 0.0000
Si 0.7500 0.2500 0.5000
Si 0.8472 0.5000 0.3472

Top 6 peaks for 2θ = 10–90°, in order of rising 2θ:
2θ/deg	I/Imax
28.85	17
32.96	100
33.43	88
35.32	19
36.66	21
66.54	22

Structure and computed X-ray diffraction stick pattern of Pr2Nd2YTm (a PBE-relaxed structure; Cu Ka).
Lines closer than 0.1° are merged.

Atomic structure:
abc: 7.1383 5.7423 9.9695
angles: 90.00 90.00 90.00
Positions (direct):
Pr 0.0000 0.0000 0.0000
Pr 0.2500 0.5000 0.1761
Pr 0.5000 0.0000 0.0000
Pr 0.7500 0.5000 0.8239
Nd 0.2500 0.0000 0.3319
Nd 0.2500 0.5000 0.8364
Nd 0.7500 0.0000 0.6681
Nd 0.7500 0.5000 0.1636
Y 0.0000 0.5000 0.5000
Y 0.5000 0.5000 0.5000
Tm 0.2500 0.0000 0.6594
Tm 0.7500 0.0000 0.3406

Top 6 peaks for 2θ = 10–90°, in order of rising 2θ:
2θ/deg	I/Imax
30.82	84
31.11	100
40.28	19
44.37	31
55.18	32
61.12	29

Structure and computed X-ray diffraction stick pattern of TbEu2Ni (a PBE-relaxed structure; Cu Ka).
Lines closer than 0.1° are merged.

Atomic structure:
abc: 10.7935 10.7935 10.7935
angles: 19.70 19.70 19.70
Positions (direct):
Tb 0.0000 0.0000 0.0000
Eu 0.1094 0.1094 0.1094
Eu 0.8906 0.8906 0.8906
Ni 0.5000 0.5000 0.5000

Top 6 peaks for 2θ = 10–90°, in order of rising 2θ:
2θ/deg	I/Imax
25.25	63
28.04	100
28.46	72
36.07	93
40.02	82
49.34	56